Simulated X-ray diffraction stick pattern
Compound: PbSeF
Radiation: λ = 1.5418 Å (Cu Kα)
Structure: a structure optimized by DFT (PBE)
No peak broadening, texture or thermal motion is included.

The 10 most intense peaks (2θ from 10° to 90°), in order of rising 2θ:
2θ (°)	I (rel.)	index
21.7	51	0 1 1
28.0	100	1 0 1
35.7	19	0 2 0
38.1	11	0 0 3
41.8	12	2 0 -1
42.1	15	1 1 2
42.1	14	1 1 -3
45.9	35	1 2 1
47.5	14	2 1 0
53.2	10	0 2 3

Structure:
```
data_PbSeF
_chemical_formula_sum 'Pb2 Se2 F2'
_cell_length_a 4.3262
_cell_length_b 5.0305
_cell_length_c 7.4069
_cell_angle_alpha 90.00
_cell_angle_beta 106.95
_cell_angle_gamma 90.00
_space_group_name_H-M_alt 'P 1 21/m 1'
_space_group_IT_number 11
_space_group_name_Hall '-P 2yb'
loop_
_atom_site_label
_atom_site_fract_x
_atom_site_fract_y
_atom_site_fract_z
Pb1 0.1678 0.2500 0.3349
Se1 0.4762 0.7500 0.9531
F1 0.2078 0.7500 0.4149
```